No. 1
This entry pairs a crystal structure of Na4AsPAu2 with its calculated X-ray powder pattern. Radiation: λ = 1.5418 Å (Cu Kα). Structure: a DFT-relaxed cell (GGA-PBE, OQMD).

a b c (Å): 8.764 7.040 5.757
angles (deg): 90.00 90.04 90.00
Space group C2 (No. 5)
One atom of each set of equivalent atoms:
Na (0.180, 0.000, 0.001) x4
Na (0.180, 0.703, 0.499) x4
As (0.000, 0.064, 0.500) x2
P (0.000, 0.639, 0.000) x2
Au (0.000, 0.363, 0.250) x4

Peak list (6 most intense, 10 to 80 degrees two-theta, in order of rising 2θ)
d_spacing  2θ/deg  Rel. int.  (hkl)
5.488  16.15  100  1 1 0
4.382  20.27  51  2 0 0
2.698  33.20  28  3 1 0
2.549  35.21  54  1 1 2
2.267  39.76  25  1 3 0
1.986  45.68  29  2 2 2



No. 2
This entry pairs a crystal structure of Al17Re12 with its calculated X-ray powder pattern. Radiation: λ = 1.5418 Å (Cu Kα). Structure: a DFT-relaxed cell (GGA-PBE, OQMD).

a b c (Å): 9.675 9.675 9.675
angles (deg): 90.00 90.00 90.00
Space group I-43m (No. 217)
One atom of each set of equivalent atoms:
Al (0.000, 0.000, 0.000) x2
Al (0.041, 0.360, 0.640) x24
Al (0.175, 0.175, 0.175) x8
Re (0.088, 0.088, 0.721) x24

Peak list (6 most intense, 10 to 80 degrees two-theta, in order of rising 2θ)
d_spacing  2θ/deg  Rel. int.  (hkl)
6.842  12.94  21  1 1 0
3.950  22.51  100  2 1 1
2.281  39.52  58  4 1 1
2.063  43.89  67  3 3 2
1.897  47.94  44  5 1 0
1.317  71.68  19  7 2 1